This entry pairs a crystal structure of Ba2Cd6Hg3 with its calculated powder X-ray diffraction pattern. Radiation: Cu Kα X-rays. Structure: a DFT-relaxed cell (PBE, Alexandria).
Kinematic intensities with the Lorentz-polarization factor, no thermal factor.

Crystal structure
a b c (Å): 8.9635 8.9635 4.5919
angles (deg): 90.00 90.00 120.00
Space group P-62m (No. 189)
Unique sites:
1 Ba 0.3333 0.6667 0.0000 (multiplicity 2)
2 Cd 0.0000 0.2722 0.5000 (multiplicity 3)
3 Cd 0.0000 0.8097 0.0000 (multiplicity 3)
4 Hg 0.0000 0.6010 0.5000 (multiplicity 3)

Principal peaks in the range 2θ from 10° to 90°, sorted by position:
2θ/deg	I (rel.)	(hkl)
27.82	92	1 1 1
30.47	33	2 1 0
34.67	29	3 0 0
36.34	100	2 1 1
39.24	33	0 0 2
41.96	35	3 1 0